Diffraction record for Er4O5. The powder X-ray diffraction pattern is simulated, not measured: it uses DFT lattice parameters and positions (GGA-PBE) and Cu Kα.
Peak positions follow from Bragg's law for the DFT cell and can differ from measured ones.

Peak list (10 most intense, 15 to 90 degrees two-theta, in order of rising 2θ)
d_spacing	2θ (°)	intensity	index
2.975	30.04	100.0	1 0 2
2.716	32.98	35.4	1 1 0
2.351	38.29	12.1	0 0 4
1.921	47.33	18.9	2 0 0
1.777	51.41	28.4	1 1 4
1.614	57.08	33.5	2 1 2
1.487	62.44	11.8	2 0 4
1.451	64.19	11.3	1 0 6
1.176	81.94	7.3	0 0 8
1.158	83.50	11.1	2 1 6

a = 3.8412 Å, b = 3.8412 Å, c = 9.4025 Å
α = 90.00°, β = 90.00°, γ = 90.00°
Space group P4/mmm (No. 123)
One atom of each set of equivalent atoms:
Er 0.0000 0.0000 0.0000 x1
Er 0.0000 0.0000 0.5000 x1
Er 0.5000 0.5000 0.2420 x2
O 0.0000 0.5000 0.1442 x4
O 0.5000 0.5000 0.5000 x1



Diffraction record for Ag4TeO5. The powder X-ray diffraction pattern is simulated, not measured: it uses DFT lattice parameters and positions (GGA-PBE) and Cu Kα.
Peak positions follow from Bragg's law for the DFT cell and can differ from measured ones.

Peak list (10 most intense, 15 to 90 degrees two-theta, in order of rising 2θ)
d_spacing	2θ (°)	intensity	index
2.969	30.09	21.7	0 2 1
2.781	32.19	18.3	5 1 -2
2.732	32.78	33.1	0 0 4
2.687	33.35	29.9	0 2 2
2.545	35.27	100.0	5 1 -3
2.355	38.22	17.1	0 2 3
2.260	39.89	12.2	5 1 2
2.254	40.00	11.3	5 1 -4
1.738	52.66	23.5	5 3 -1
1.485	62.56	10.7	0 4 2

a = 16.2503 Å, b = 6.1710 Å, c = 11.3930 Å
α = 90.00°, β = 106.40°, γ = 90.00°
Space group C2/c (No. 15)
One atom of each set of equivalent atoms:
Ag 0.0000 0.0686 0.2500 x4
Ag 0.0590 0.2389 0.0203 x8
Ag 0.0919 0.3765 0.7521 x8
Ag 0.1979 0.1188 0.2284 x8
Ag 0.2500 0.2500 0.0000 x4
Te 0.1505 0.2692 0.4968 x8
O 0.0560 0.4275 0.3922 x8
O 0.0908 0.1383 0.6040 x8
O 0.1257 0.0174 0.3906 x8
O 0.1823 0.4855 0.1083 x8
O 0.2358 0.3763 0.4054 x8



Diffraction record for K2AgBr3Cl. The powder X-ray diffraction pattern is simulated, not measured: it uses DFT lattice parameters and positions (GGA-PBE) and Cu Kα.
Peak positions follow from Bragg's law for the DFT cell and can differ from measured ones.

Peak list (10 most intense, 15 to 90 degrees two-theta, in order of rising 2θ)
d_spacing	2θ (°)	intensity	index
4.310	20.61	100.0	1 0 0
3.734	23.83	59.6	1 1 1
3.367	26.47	64.6	1 0 2
2.823	31.70	85.1	1 2 2
2.696	33.23	66.6	0 0 4
2.590	34.64	59.8	0 4 0
2.155	41.91	40.6	2 0 0
1.868	48.76	45.1	0 4 4
1.657	55.45	40.2	2 4 0
1.411	66.21	38.9	2 4 4

a = 4.3104 Å, b = 10.3585 Å, c = 10.7857 Å
α = 90.00°, β = 90.00°, γ = 90.00°
Space group Amm2 (No. 38)
One atom of each set of equivalent atoms:
K 0.0000 0.2381 0.0000 x4
Ag 0.5000 0.0000 0.7486 x2
Br 0.5000 0.0000 0.5082 x2
Br 0.5000 0.2482 0.2494 x4
Cl 0.5000 0.0000 0.9801 x2



Diffraction record for Pr2SbIBr. The powder X-ray diffraction pattern is simulated, not measured: it uses DFT lattice parameters and positions (GGA-PBE) and Cu Kα.
Peak positions follow from Bragg's law for the DFT cell and can differ from measured ones.

Peak list (10 most intense, 15 to 90 degrees two-theta, in order of rising 2θ)
d_spacing	2θ (°)	intensity	index
3.639	24.46	10.6	0 1 1
3.158	28.26	100.0	0 1 2
2.659	33.71	9.0	0 1 3
2.241	40.24	36.6	1 0 4
2.226	40.53	35.9	1 1 0
1.819	50.14	20.2	2 0 2
1.579	58.44	12.1	0 2 4
1.416	65.96	15.7	1 1 6
1.409	66.36	17.3	1 2 2
1.288	73.54	12.2	2 1 4

a = 4.4514 Å, b = 4.4514 Å, c = 11.0158 Å
α = 90.00°, β = 90.00°, γ = 120.00°
Space group P3m1 (No. 156)
One atom of each set of equivalent atoms:
Pr 0.0000 0.0000 0.0000 x1
Pr 0.3333 0.6667 0.6745 x1
Sb 0.6667 0.3333 0.8377 x1
I 0.0000 0.0000 0.4900 x1
Br 0.3333 0.6667 0.1583 x1



Diffraction record for Sm2BiIO4. The powder X-ray diffraction pattern is simulated, not measured: it uses DFT lattice parameters and positions (GGA-PBE) and Cu Kα.
Peak positions follow from Bragg's law for the DFT cell and can differ from measured ones.

Peak list (10 most intense, 15 to 90 degrees two-theta, in order of rising 2θ)
d_spacing	2θ (°)	intensity	index
3.064	29.15	100.0	1 0 2
2.861	31.26	33.2	1 1 0
2.345	38.38	10.2	0 0 4
2.023	44.79	18.8	2 0 0
1.814	50.30	25.0	1 1 4
1.688	54.33	35.4	2 1 2
1.532	60.43	11.3	2 0 4
1.458	63.82	10.7	1 0 6
1.183	81.33	11.0	2 1 6
1.123	86.67	10.7	3 1 4

a = 4.0467 Å, b = 4.0467 Å, c = 9.3808 Å
α = 90.00°, β = 90.00°, γ = 90.00°
Space group P4/mmm (No. 123)
One atom of each set of equivalent atoms:
Sm 0.0000 0.0000 0.2435 x2
Bi 0.5000 0.5000 0.5000 x1
I 0.5000 0.5000 0.0000 x1
O 0.0000 0.5000 0.3442 x4



Diffraction record for Te3Ir. The powder X-ray diffraction pattern is simulated, not measured: it uses DFT lattice parameters and positions (GGA-PBE) and Cu Kα.
Peak positions follow from Bragg's law for the DFT cell and can differ from measured ones.

Peak list (10 most intense, 15 to 90 degrees two-theta, in order of rising 2θ)
d_spacing	2θ (°)	intensity	index
5.829	15.20	87.3	1 0 -1
4.579	19.38	38.8	1 0 1
2.933	30.47	100.0	0 1 2
2.834	31.57	56.5	1 1 -2
2.696	33.23	59.5	2 0 1
2.430	37.00	63.4	2 1 -1
2.201	41.00	28.2	2 1 1
2.085	43.40	38.1	1 1 3
1.967	46.16	31.7	0 1 4
1.907	47.70	33.1	0 2 0

a = 6.3229 Å, b = 3.8131 Å, c = 9.5075 Å
α = 90.00°, β = 105.02°, γ = 90.00°
Space group P2_1/m (No. 11)
One atom of each set of equivalent atoms:
Te 0.0016 0.2500 0.3244 x2
Te 0.2756 0.7500 0.0099 x2
Te 0.4631 0.7500 0.6589 x2
Ir 0.3091 0.2500 0.8166 x2



Diffraction record for Nd6Fe13Ge. The powder X-ray diffraction pattern is simulated, not measured: it uses DFT lattice parameters and positions (GGA-PBE) and Cu Kα.
Peak positions follow from Bragg's law for the DFT cell and can differ from measured ones.

Peak list (10 most intense, 15 to 90 degrees two-theta, in order of rising 2θ)
d_spacing	2θ (°)	intensity	index
3.242	27.51	66.8	2 1 3
2.826	31.66	100.0	2 2 0
2.569	34.93	28.1	1 1 8
2.528	35.51	72.1	3 1 0
2.339	38.49	59.2	2 0 8
2.315	38.90	28.8	3 1 4
2.083	43.44	32.2	2 1 9
1.932	47.03	35.9	4 1 1
1.788	51.10	38.4	4 2 0
1.577	58.51	28.8	3 3 8

a = 7.9946 Å, b = 7.9946 Å, c = 23.0711 Å
α = 90.00°, β = 90.00°, γ = 90.00°
Space group I4/mcm (No. 140)
One atom of each set of equivalent atoms:
Nd 0.0000 0.0000 0.1082 x8
Nd 0.1657 0.3343 0.1886 x16
Fe 0.0000 0.5000 0.0000 x4
Fe 0.0666 0.2088 0.5000 x16
Fe 0.1129 0.3871 0.4046 x16
Fe 0.1790 0.3210 0.0598 x16
Ge 0.0000 0.0000 0.2500 x4



Diffraction record for Sr2CuSi. The powder X-ray diffraction pattern is simulated, not measured: it uses DFT lattice parameters and positions (GGA-PBE) and Cu Kα.
Peak positions follow from Bragg's law for the DFT cell and can differ from measured ones.

Peak list (10 most intense, 15 to 90 degrees two-theta, in order of rising 2θ)
d_spacing	2θ (°)	intensity	index
4.226	21.02	11.6	1 1 1
3.660	24.32	2.6	2 0 0
2.588	34.66	100.0	2 2 0
2.207	40.89	6.6	3 1 1
1.830	49.83	17.3	4 0 0
1.679	54.65	2.9	3 3 1
1.494	62.12	35.1	4 2 2
1.409	66.36	2.2	5 1 1
1.294	73.13	10.8	4 4 0
1.157	83.53	15.2	6 2 0

a = 7.3201 Å, b = 7.3201 Å, c = 7.3201 Å
α = 90.00°, β = 90.00°, γ = 90.00°
Space group F-43m (No. 216)
One atom of each set of equivalent atoms:
Sr 0.0000 0.0000 0.0000 x4
Sr 0.2500 0.2500 0.2500 x4
Cu 0.0000 0.0000 0.5000 x4
Si 0.2500 0.2500 0.7500 x4



Diffraction record for Lu8Tl2C3N3. The powder X-ray diffraction pattern is simulated, not measured: it uses DFT lattice parameters and positions (GGA-PBE) and Cu Kα.
Peak positions follow from Bragg's law for the DFT cell and can differ from measured ones.

Peak list (10 most intense, 15 to 90 degrees two-theta, in order of rising 2θ)
d_spacing	2θ (°)	intensity	index
2.954	30.25	39.6	1 0 1
2.721	32.92	79.3	1 0 4
2.706	33.10	56.1	0 0 10
2.605	34.43	100.0	0 1 5
2.482	36.20	82.3	1 0 6
1.716	53.39	54.2	1 1 0
1.620	56.82	17.5	1 0 14
1.542	59.98	20.6	0 1 15
1.449	64.28	51.9	1 1 10
1.433	65.09	16.0	2 0 5

a = 3.4318 Å, b = 3.4318 Å, c = 27.0614 Å
α = 90.00°, β = 90.00°, γ = 120.00°
Space group P-3m1 (No. 164)
One atom of each set of equivalent atoms:
Lu 0.0000 0.0000 0.1471 x2
Lu 0.0000 0.0000 0.3459 x2
Lu 0.3333 0.6667 0.5538 x2
Lu 0.3333 0.6667 0.9512 x2
Tl 0.3333 0.6667 0.7554 x2
C 0.0000 0.0000 0.5000 x1
C 0.3333 0.6667 0.3898 x2
N 0.0000 0.0000 0.0000 x1
N 0.3333 0.6667 0.1027 x2



Diffraction record for RbHg3GeSe4. The powder X-ray diffraction pattern is simulated, not measured: it uses DFT lattice parameters and positions (GGA-PBE) and Cu Kα.
Peak positions follow from Bragg's law for the DFT cell and can differ from measured ones.

Peak list (10 most intense, 15 to 90 degrees two-theta, in order of rising 2θ)
d_spacing	2θ (°)	intensity	index
3.980	22.34	100.0	1 1 1
3.447	25.85	24.4	2 0 0
2.437	36.88	98.0	2 2 0
2.078	43.54	51.7	3 1 1
1.723	53.15	15.7	4 0 0
1.581	58.35	19.7	3 3 1
1.541	60.02	13.8	4 2 0
1.407	66.44	30.3	4 2 2
1.327	71.06	15.3	3 3 3
1.165	82.85	16.3	5 3 1

a = 6.8934 Å, b = 6.8934 Å, c = 6.8934 Å
α = 90.00°, β = 90.00°, γ = 90.00°
Space group P-43m (No. 215)
One atom of each set of equivalent atoms:
Rb 0.0000 0.0000 0.0000 x1
Hg 0.0000 0.5000 0.5000 x3
Ge 0.5000 0.5000 0.5000 x1
Se 0.2805 0.2805 0.2805 x4



Diffraction record for Ta2Zn2Re. The powder X-ray diffraction pattern is simulated, not measured: it uses DFT lattice parameters and positions (GGA-PBE) and Cu Kα.
Peak positions follow from Bragg's law for the DFT cell and can differ from measured ones.

Peak list (10 most intense, 15 to 90 degrees two-theta, in order of rising 2θ)
d_spacing	2θ (°)	intensity	index
5.878	15.07	94.5	0 0 2
2.720	32.93	59.6	1 0 3
2.320	38.82	49.8	1 0 4
2.181	41.40	100.0	1 1 0
2.045	44.30	39.0	1 1 2
1.996	45.44	31.9	1 0 5
1.739	52.62	19.5	1 0 6
1.701	53.88	15.1	2 0 3
1.589	58.05	15.4	2 0 4
1.259	75.50	17.0	3 0 0

a = 4.3619 Å, b = 4.3619 Å, c = 11.7563 Å
α = 90.00°, β = 90.00°, γ = 120.00°
Space group P6_3/mmc (No. 194)
One atom of each set of equivalent atoms:
Ta 0.3333 0.6667 0.0791 x4
Zn 0.3333 0.6667 0.6518 x4
Re 0.0000 0.0000 0.0000 x2



Diffraction record for Ba2TlPd2Pb3. The powder X-ray diffraction pattern is simulated, not measured: it uses DFT lattice parameters and positions (GGA-PBE) and Cu Kα.
Peak positions follow from Bragg's law for the DFT cell and can differ from measured ones.

Peak list (10 most intense, 15 to 90 degrees two-theta, in order of rising 2θ)
d_spacing	2θ (°)	intensity	index
3.032	29.46	75.8	3 1 0
3.016	29.62	100.0	1 1 2
2.851	31.37	47.1	3 1 1
2.823	31.70	35.4	4 0 1
2.536	35.40	40.5	2 0 -3
2.458	36.56	52.9	3 1 -2
2.351	38.28	57.2	1 1 3
2.326	38.70	49.1	0 2 0
1.607	57.32	24.5	7 1 0
1.445	64.49	19.7	3 3 0

a = 11.9893 Å, b = 4.6528 Å, c = 8.3951 Å
α = 90.00°, β = 90.17°, γ = 90.00°
Space group Cm (No. 8)
One atom of each set of equivalent atoms:
Ba 0.0000 0.0000 0.0000 x2
Ba 0.1167 0.0000 0.4921 x2
Tl 0.2101 0.5000 0.1935 x2
Pd 0.2787 0.0000 0.9932 x2
Pd 0.3398 0.5000 0.4973 x2
Pb 0.2127 0.5000 0.7993 x2
Pb 0.4015 0.0000 0.2990 x2
Pb 0.4033 0.0000 0.6915 x2